Cr3P6WO24: computed powder X-ray diffraction pattern (λ = 1.5418 Å (Cu Kα)), based on a crystal structure in Alexandria, relaxed with PBE+U.
Peak positions follow from Bragg's law for the DFT cell and can differ from measured ones.

Main lines, by angle (2θ from 10° to 80°):
Position (°2θ), d (Å), I_rel
12.83, 6.901, 38
14.59, 6.070, 81
20.19, 4.398, 100
21.18, 4.194, 59
24.42, 3.645, 85
29.43, 3.035, 66
32.34, 2.768, 52
36.55, 2.459, 27
37.13, 2.421, 20
53.20, 1.722, 20

Structure:
Cell lengths 8.817, 8.817, 8.817 Å; angles 56.80, 56.80, 56.80 degrees
Fractional coordinates of all 34 atoms:
1 Cr 0.000 0.000 0.000
2 Cr 0.215 0.215 0.215
3 Cr 0.710 0.710 0.710
4 P 0.099 0.831 0.382
5 P 0.323 0.606 0.897
6 P 0.382 0.099 0.831
7 P 0.606 0.897 0.323
8 P 0.831 0.382 0.099
9 P 0.897 0.323 0.606
10 W 0.497 0.497 0.497
11 O 0.092 0.246 0.459
12 O 0.126 0.840 0.191
13 O 0.153 0.983 0.356
14 O 0.172 0.812 0.873
15 O 0.191 0.126 0.840
16 O 0.246 0.459 0.092
17 O 0.257 0.629 0.453
18 O 0.356 0.153 0.983
19 O 0.357 0.556 0.731
20 O 0.453 0.257 0.629
21 O 0.459 0.092 0.246
22 O 0.519 0.583 0.873
23 O 0.540 0.900 0.835
24 O 0.556 0.731 0.357
25 O 0.583 0.873 0.519
26 O 0.629 0.453 0.257
27 O 0.731 0.357 0.556
28 O 0.812 0.873 0.172
29 O 0.835 0.540 0.900
30 O 0.840 0.191 0.126
31 O 0.873 0.172 0.812
32 O 0.873 0.519 0.583
33 O 0.900 0.835 0.540
34 O 0.983 0.356 0.153